Diffraction record for Er2Zn3Tc. The XRD peak list is simulated, not measured: it uses a DFT-relaxed cell (PBE, Alexandria) and λ = 1.5418 Å (Cu Kα).
Neutral-atom scattering factors, no anomalous dispersion.

```
data_Er2Zn3Tc
_cell_length_a 5.297
_cell_length_b 5.297
_cell_length_c 5.461
_cell_angle_alpha 118.92
_cell_angle_beta 118.92
_cell_angle_gamma 60.20
_space_group_name_H-M_alt 'P 1'
_space_group_IT_number 1
loop_
_space_group_symop_operation_xyz
'x,y,z'
loop_
_atom_site_label
_atom_site_type_symbol
_atom_site_fract_x
_atom_site_fract_y
_atom_site_fract_z
Er1 Er 0.129 0.129 0.387
Er2 Er 0.871 0.871 0.613
Zn1 Zn 0.000 0.500 0.000
Zn2 Zn 0.500 0.000 0.000
Zn3 Zn 0.500 0.500 0.000
Tc1 Tc 0.500 0.500 0.500
```

Peak list (12 most intense, 10° ≤ 2θ ≤ 80°, in order of rising 2θ)
d = 2.731 Å, intensity 41; d = 2.656 Å, intensity 18; d = 2.648 Å, intensity 36; d = 2.338 Å, intensity 42; d = 2.288 Å, intensity 100; d = 2.265 Å, intensity 33; d = 2.177 Å, intensity 14; d = 1.593 Å, intensity 11; d = 1.462 Å, intensity 13; d = 1.451 Å, intensity 16; d = 1.366 Å, intensity 14; d = 1.324 Å, intensity 13